1.
This entry pairs a crystal structure of Ca5AcPd6 with its calculated powder diffraction line list. Radiation: Cu Kα. Structure: a DFT-relaxed cell (GGA-PBE, Alexandria).

Atomic structure:
abc: 5.062 7.222 7.968
angles: 90.00 108.23 90.00
Space group P2/m (No. 10)
Symmetry-distinct sites (fractional):
Ca (0.000, 0.000, 0.000) x1
Ca (0.328, 0.500, 0.656) x2
Ca (0.334, 0.000, 0.666) x2
Ac (0.000, 0.500, 0.000) x1
Pd (0.166, 0.246, 0.333) x4
Pd (0.500, 0.246, 0.000) x2

Peak list (6 most intense, 10 to 90 degrees two-theta, low angle first)
h k l, 2θ/deg, Rel. int.
1 2 1, 35.3, 100
2 0 -1, 35.5, 25
0 0 3, 35.6, 24
0 4 0, 50.6, 9
2 4 -1, 63.3, 9
3 2 -3, 63.7, 17

---

2.
This entry pairs a crystal structure of CaAc3Pd3 with its calculated powder diffraction line list. Radiation: Cu Kα. Structure: a DFT-relaxed cell (GGA-PBE, Alexandria).

Atomic structure:
abc: 10.6906 10.6906 6.2873
angles: 90.00 90.00 120.00
Space group R3m (No. 160, hexagonal axes)
Symmetry-distinct sites (fractional):
Ca (0.0000, 0.0000, 0.0000) x3
Ac (0.1909, 0.3818, 0.2247) x9
Pd (0.1700, 0.3400, 0.7317) x9

Peak list (6 most intense, 10 to 90 degrees two-theta, low angle first)
h k l, 2θ/deg, Rel. int.
1 1 0, 16.6, 39
0 2 1, 23.9, 27
3 0 0, 28.9, 47
2 2 0, 33.5, 90
2 0 2, 34.5, 100
2 3 2, 52.0, 27

---

3.
This entry pairs a crystal structure of Ca2AcPdRh with its calculated powder diffraction line list. Radiation: Cu Kα. Structure: a DFT-relaxed cell (GGA-PBE, Alexandria).

Atomic structure:
abc: 5.298 5.298 5.820
angles: 90.00 90.00 90.00
Space group P4mm (No. 99)
Symmetry-distinct sites (fractional):
Ca (0.000, 0.500, 0.000) x2
Ac (0.000, 0.000, 0.538) x1
Pd (0.500, 0.500, 0.684) x1
Rh (0.000, 0.000, 0.063) x1

Peak list (6 most intense, 10 to 90 degrees two-theta, low angle first)
h k l, 2θ/deg, Rel. int.
1 0 0, 16.7, 87
1 1 0, 23.8, 100
1 1 1, 28.3, 77
2 0 0, 33.8, 91
1 0 2, 35.2, 77
2 1 2, 49.6, 58